Fe11Si4H12O27: simulated powder diffraction line list (Cu Kα (λ = 1.5418 Å)), based on a DFT-relaxed cell (GGA+U, the Materials Project).
Neutral-atom scattering factors, no anomalous dispersion.

```
data_Fe11Si4H12O27
_chemical_formula_sum 'Fe11 Si4 H12 O27'
_space_group_name_H-M_alt 'P 1'
_space_group_IT_number 1
_cell_length_a 5.532
_cell_length_b 9.097
_cell_length_c 12.091
_cell_angle_alpha 92.25
_cell_angle_beta 90.43
_cell_angle_gamma 107.56
loop_
_space_group_symop_operation_xyz
'x,y,z'
loop_
_atom_site_label
_atom_site_fract_x
_atom_site_fract_y
_atom_site_fract_z
_atom_site_occupancy
Fe1 0.000 0.000 0.000 1
Fe2 0.021 0.379 0.977 1
Fe3 0.133 0.607 0.197 1
Fe4 0.240 0.827 0.420 1
Fe5 0.355 0.048 0.643 1
Fe6 0.461 0.269 0.864 1
Fe7 0.578 0.493 0.086 1
Fe8 0.690 0.716 0.309 1
Fe9 0.775 0.557 0.555 1
Fe10 0.798 0.935 0.532 1
Fe11 0.913 0.159 0.756 1
Si1 0.118 0.235 0.219 1
Si2 0.329 0.677 0.666 1
Si3 0.440 0.896 0.882 1
Si4 0.673 0.342 0.326 1
H1 0.014 0.677 0.998 1
H2 0.106 0.910 0.224 1
H3 0.242 0.117 0.431 1
H4 0.254 0.533 0.410 1
H5 0.351 0.359 0.674 1
H6 0.441 0.563 0.879 1
H7 0.553 0.779 0.101 1
H8 0.582 0.185 0.063 1
H9 0.662 0.015 0.334 1
H10 0.752 0.223 0.549 1
H11 0.886 0.449 0.770 1
H12 0.934 0.863 0.737 1
O1 0.024 0.587 0.670 1
O2 0.074 0.070 0.151 1
O3 0.083 0.816 0.267 1
O4 0.104 0.172 0.915 1
O5 0.159 0.862 0.936 1
O6 0.188 0.028 0.479 1
O7 0.191 0.383 0.141 1
O8 0.301 0.623 0.365 1
O9 0.302 0.259 0.712 1
O10 0.359 0.253 0.311 1
O11 0.391 0.819 0.579 1
O12 0.403 0.470 0.923 1
O13 0.434 0.751 0.792 1
O14 0.472 0.550 0.629 1
O15 0.514 0.695 0.154 1
O16 0.517 0.059 0.815 1
O17 0.606 0.921 0.375 1
O18 0.628 0.277 0.019 1
O19 0.648 0.905 0.981 1
O20 0.730 0.136 0.599 1
O21 0.732 0.378 0.459 1
O22 0.749 0.495 0.252 1
O23 0.829 0.361 0.819 1
O24 0.845 0.226 0.284 1
O25 0.876 0.731 0.467 1
O26 0.957 0.582 0.041 1
O27 0.977 0.952 0.691 1
```

Largest 10 diffraction maxima, most intense first, 2θ from 10° to 90°:
2theta	Rel. int.	h k l
12.3	100	0 1 -1
24.8	57	0 2 -2
34.4	42	-1 3 2
34.5	42	1 0 4
34.7	38	2 0 -1
41.0	27	-1 4 1
50.2	25	1 -2 6
50.2	15	1 -5 0
22.3	12	1 -1 2
22.1	11	1 0 -2


KNdHfFeO6: simulated powder diffraction line list (Cu Kα (λ = 1.5418 Å)), based on a DFT-relaxed cell (GGA+U, the Materials Project).
Neutral-atom scattering factors, no anomalous dispersion.

```
data_KNdHfFeO6
_chemical_formula_sum 'K4 Nd4 Hf4 Fe4 O24'
_space_group_name_H-M_alt 'F -4 3 m'
_space_group_IT_number 216
_space_group_name_Hall 'F -4 2 3'
_cell_length_a 7.993
_cell_length_b 7.993
_cell_length_c 7.993
_cell_angle_alpha 90.00
_cell_angle_beta 90.00
_cell_angle_gamma 90.00
loop_
_atom_site_label
_atom_site_fract_x
_atom_site_fract_y
_atom_site_fract_z
_atom_site_occupancy
K1 0.000 0.000 0.000 1
Nd1 0.000 0.000 0.500 1
Hf1 0.250 0.250 0.250 1
Fe1 0.250 0.250 0.750 1
O1 0.006 0.250 0.750 1
```

Largest 10 diffraction maxima, most intense first, 2θ from 10° to 90°:
2theta	Rel. int.	h k l
31.7	100	2 2 0
56.4	39	4 2 2
19.2	34	1 1 1
45.4	32	4 0 0
37.3	21	3 1 1
66.1	19	4 4 0
75.2	17	6 2 0
49.7	10	3 3 1
60.2	7	3 3 3
69.6	7	5 3 1


HfMg6FeO8: simulated powder diffraction line list (Cu Kα (λ = 1.5418 Å)), based on a DFT-relaxed cell (GGA+U, the Materials Project).
Neutral-atom scattering factors, no anomalous dispersion.

```
data_HfMg6FeO8
_chemical_formula_sum 'Hf1 Mg6 Fe1 O8'
_space_group_name_H-M_alt 'P 4/m m m'
_space_group_IT_number 123
_space_group_name_Hall '-P 4 2'
_cell_length_a 4.340
_cell_length_b 4.340
_cell_length_c 8.909
_cell_angle_alpha 90.00
_cell_angle_beta 90.00
_cell_angle_gamma 90.00
loop_
_atom_site_label
_atom_site_fract_x
_atom_site_fract_y
_atom_site_fract_z
_atom_site_occupancy
Hf1 0.000 0.000 0.000 1
Mg1 0.000 0.500 0.270 1
Mg2 0.500 0.500 0.000 1
Mg3 0.500 0.500 0.500 1
Fe1 0.000 0.000 0.500 1
O1 0.000 0.000 0.232 1
O2 0.000 0.500 0.000 1
O3 0.000 0.500 0.500 1
O4 0.500 0.500 0.251 1
```

Largest 10 diffraction maxima, most intense first, 2θ from 10° to 90°:
2theta	Rel. int.	h k l
41.6	100	2 0 0
20.5	78	1 0 0
35.5	76	1 1 2
28.7	70	1 0 2
59.5	59	2 0 4
22.8	52	1 0 1
40.5	51	0 0 4
19.9	44	0 0 2
29.1	33	1 1 0
60.3	30	2 2 0